No. 1
This entry pairs a crystal structure of NdThCu2 with its calculated X-ray powder pattern. Radiation: a wavelength of 1.5418 Å. Structure: DFT lattice parameters and positions (GGA-PBE).

Cell lengths 5.0663, 5.0663, 5.0663 Å; angles 60.00, 60.00, 60.00 degrees
Sites, in units of the cell vectors:
Nd 0.0000 0.0000 0.0000
Th 0.5000 0.5000 0.5000
Cu 0.2500 0.2500 0.2500
Cu 0.7500 0.7500 0.7500

Peak list (8 most intense, 2θ from 15° to 90°, in order of falling intensity)
2θ/deg	d_spacing	I (rel.)
35.44	2.533	100
63.62	1.463	36
24.85	3.582	25
50.99	1.791	18
85.77	1.133	16
74.99	1.267	11
57.53	1.602	11
43.77	2.068	8

No. 2
This entry pairs a crystal structure of RbNCl with its calculated X-ray powder pattern. Radiation: a wavelength of 1.5418 Å. Structure: DFT lattice parameters and positions (GGA-PBE).

Cell lengths 10.6737, 4.6540, 9.2712 Å; angles 90.00, 96.03, 90.00 degrees
Sites, in units of the cell vectors:
Rb 0.1542 0.2487 0.3944
Rb 0.1542 0.2513 0.8944
Rb 0.8458 0.7487 0.1056
Rb 0.8458 0.7513 0.6056
N 0.4568 0.0618 0.9807
N 0.4568 0.4382 0.4807
N 0.5432 0.5618 0.5193
N 0.5432 0.9382 0.0193
Cl 0.1588 0.7499 0.1453
Cl 0.1588 0.7501 0.6453
Cl 0.8412 0.2499 0.3547
Cl 0.8412 0.2501 0.8547

Peak list (8 most intense, 2θ from 15° to 90°, in order of falling intensity)
2θ/deg	d_spacing	I (rel.)
27.23	3.275	100
25.17	3.538	72
27.90	3.198	55
38.84	2.319	41
35.95	2.498	37
39.10	2.304	33
42.20	2.141	24
20.84	4.262	22